Diffraction record for Mg3H2Ir5. The XRD peak list is computed, not measured: it uses a GGA-PBE-relaxed structure and λ = 1.5418 Å (Cu Kα).
No peak broadening, texture or thermal motion is included.

Largest 6 diffraction maxima, sorted by position, 10 to 90 degrees two-theta:
index	Position (°2θ)	I (rel.)
1 1 0	17.91	337
2 0 -1	23.02	454
2 2 -1	38.53	1000
4 0 0	39.01	506
0 0 2	39.56	488
2 2 1	44.32	666

Atomic structure:
```
data_Mg3H2Ir5
_chemical_formula_sum 'Mg6 H4 Ir10'
_cell_length_a 9.666
_cell_length_b 5.868
_cell_length_c 4.769
_cell_angle_alpha 90.00
_cell_angle_beta 107.19
_cell_angle_gamma 90.00
_symmetry_space_group_name_H-M 'C 1 m 1'
_symmetry_Int_Tables_number 8
_symmetry_space_group_name_Hall 'C -2y'
loop_
_atom_site_label
_atom_site_type_symbol
_atom_site_fract_x
_atom_site_fract_y
_atom_site_fract_z
_atom_site_occupancy
Mg1 Mg 0.000 0.000 0.000 1
Mg2 Mg 0.000 0.500 0.006 1
Mg3 Mg 0.250 0.000 0.496 1
H1 H 0.196 0.000 0.882 1
H2 H 0.442 0.500 0.556 1
Ir1 Ir 0.003 0.273 0.499 1
Ir2 Ir 0.245 0.500 0.503 1
Ir3 Ir 0.254 0.273 0.011 1
```

Diffraction record for Mg3H5Ir2. The XRD peak list is computed, not measured: it uses a GGA-PBE-relaxed structure and λ = 1.5418 Å (Cu Kα).
No peak broadening, texture or thermal motion is included.

Largest 6 diffraction maxima, sorted by position, 10 to 90 degrees two-theta:
index	Position (°2θ)	I (rel.)
0 0 1	12.12	840
1 0 0	19.27	1000
1 0 -2	26.38	533
1 1 0	35.42	456
1 1 1	39.46	691
1 1 -2	39.93	768

Atomic structure:
```
data_Mg3H5Ir2
_chemical_formula_sum 'Mg3 H5 Ir2'
_cell_length_a 4.814
_cell_length_b 3.035
_cell_length_c 7.630
_cell_angle_alpha 90.00
_cell_angle_beta 106.90
_cell_angle_gamma 90.00
_symmetry_space_group_name_H-M 'P 1 m 1'
_symmetry_Int_Tables_number 6
_symmetry_space_group_name_Hall 'P -2y'
loop_
_atom_site_label
_atom_site_type_symbol
_atom_site_fract_x
_atom_site_fract_y
_atom_site_fract_z
_atom_site_occupancy
Mg1 Mg 0.000 0.000 0.000 1
Mg2 Mg 0.307 0.000 0.652 1
Mg3 Mg 0.687 0.000 0.272 1
H1 H 0.021 0.500 0.474 1
H2 H 0.098 0.500 0.814 1
H3 H 0.424 0.000 0.422 1
H4 H 0.611 0.500 0.793 1
H5 H 0.785 0.500 0.106 1
Ir1 Ir 0.226 0.500 0.328 1
Ir2 Ir 0.446 0.500 0.958 1
```

Diffraction record for MgH4Ir4. The XRD peak list is computed, not measured: it uses a GGA-PBE-relaxed structure and λ = 1.5418 Å (Cu Kα).
No peak broadening, texture or thermal motion is included.

Largest 6 diffraction maxima, sorted by position, 10 to 90 degrees two-theta:
index	Position (°2θ)	I (rel.)
0 0 1	12.71	1000
0 0 2	25.58	129
0 0 3	38.78	296
1 1 -1	39.53	580
2 0 1	40.13	278
1 1 2	45.93	560

Atomic structure:
```
data_MgH4Ir4
_chemical_formula_sum 'Mg1 H4 Ir4'
_cell_length_a 4.763
_cell_length_b 2.792
_cell_length_c 6.966
_cell_angle_alpha 90.00
_cell_angle_beta 90.54
_cell_angle_gamma 90.00
_symmetry_space_group_name_H-M 'P 1 2 1'
_symmetry_Int_Tables_number 3
_symmetry_space_group_name_Hall 'P 2y'
loop_
_atom_site_label
_atom_site_type_symbol
_atom_site_fract_x
_atom_site_fract_y
_atom_site_fract_z
_atom_site_occupancy
Mg1 Mg 0.000 0.000 0.000 1
H1 H 0.273 0.499 0.891 1
H2 H 0.383 0.997 0.120 1
Ir1 Ir 0.175 0.498 0.667 1
Ir2 Ir 0.325 0.998 0.347 1
```

Diffraction record for MgH4Ir4. The XRD peak list is computed, not measured: it uses a GGA-PBE-relaxed structure and λ = 1.5418 Å (Cu Kα).
No peak broadening, texture or thermal motion is included.

Largest 6 diffraction maxima, sorted by position, 10 to 90 degrees two-theta:
index	Position (°2θ)	I (rel.)
0 0 1	12.70	1000
1 1 0	37.33	204
0 0 3	38.76	321
2 0 -1	39.05	386
1 1 1	40.05	597
1 1 -2	44.95	418

Atomic structure:
```
data_MgH4Ir4
_chemical_formula_sum 'Mg1 H4 Ir4'
_cell_length_a 4.780
_cell_length_b 2.791
_cell_length_c 6.987
_cell_angle_alpha 90.00
_cell_angle_beta 94.18
_cell_angle_gamma 90.00
_symmetry_space_group_name_H-M 'P 1 m 1'
_symmetry_Int_Tables_number 6
_symmetry_space_group_name_Hall 'P -2y'
loop_
_atom_site_label
_atom_site_type_symbol
_atom_site_fract_x
_atom_site_fract_y
_atom_site_fract_z
_atom_site_occupancy
Mg1 Mg 0.000 0.000 0.000 1
H1 H 0.295 0.500 0.106 1
H2 H 0.407 0.000 0.894 1
H3 H 0.621 0.500 0.791 1
H4 H 0.634 0.000 0.117 1
Ir1 Ir 0.217 0.500 0.326 1
Ir2 Ir 0.402 0.000 0.664 1
Ir3 Ir 0.717 0.000 0.346 1
Ir4 Ir 0.924 0.500 0.662 1
```

Diffraction record for Mg4H4Ir. The XRD peak list is computed, not measured: it uses a GGA-PBE-relaxed structure and λ = 1.5418 Å (Cu Kα).
No peak broadening, texture or thermal motion is included.

Largest 6 diffraction maxima, sorted by position, 10 to 90 degrees two-theta:
index	Position (°2θ)	I (rel.)
0 0 1	19.45	640
1 1 0	19.74	992
2 0 -1	21.97	546
1 1 -1	22.65	1000
3 1 -1	35.47	462
0 2 1	36.79	500

Atomic structure:
```
data_Mg4H4Ir
_chemical_formula_sum 'Mg8 H8 Ir2'
_cell_length_a 8.444
_cell_length_b 5.784
_cell_length_c 5.387
_cell_angle_alpha 90.00
_cell_angle_beta 122.09
_cell_angle_gamma 90.00
_symmetry_space_group_name_H-M 'C 1 2 1'
_symmetry_Int_Tables_number 5
_symmetry_space_group_name_Hall 'C 2y'
loop_
_atom_site_label
_atom_site_type_symbol
_atom_site_fract_x
_atom_site_fract_y
_atom_site_fract_z
_atom_site_occupancy
Mg1 Mg 0.146 0.000 0.403 1
Mg2 Mg 0.203 0.678 0.988 1
H1 H 0.000 0.685 0.500 1
H2 H 0.000 0.849 0.000 1
H3 H 0.078 0.380 0.267 1
Ir1 Ir 0.000 0.390 0.500 1
```

Diffraction record for Mg2H5Ir. The XRD peak list is computed, not measured: it uses a GGA-PBE-relaxed structure and λ = 1.5418 Å (Cu Kα).
No peak broadening, texture or thermal motion is included.

Largest 6 diffraction maxima, sorted by position, 10 to 90 degrees two-theta:
index	Position (°2θ)	I (rel.)
0 0 1	16.06	1000
1 0 1	26.10	626
0 1 0	26.52	307
0 1 1	31.15	313
1 1 0	33.71	333
1 1 1	37.55	645

Atomic structure:
```
data_Mg2H5Ir
_chemical_formula_sum 'Mg2 H5 Ir1'
_cell_length_a 4.346
_cell_length_b 3.361
_cell_length_c 5.519
_cell_angle_alpha 90.00
_cell_angle_beta 90.06
_cell_angle_gamma 90.00
_symmetry_space_group_name_H-M 'P 1 m 1'
_symmetry_Int_Tables_number 6
_symmetry_space_group_name_Hall 'P -2y'
loop_
_atom_site_label
_atom_site_type_symbol
_atom_site_fract_x
_atom_site_fract_y
_atom_site_fract_z
_atom_site_occupancy
Mg1 Mg 0.000 0.000 0.000 1
Mg2 Mg 0.002 0.500 0.479 1
H1 H 0.001 0.500 0.832 1
H2 H 0.281 0.000 0.579 1
H3 H 0.500 0.000 0.023 1
H4 H 0.501 0.500 0.244 1
H5 H 0.722 0.000 0.579 1
Ir1 Ir 0.501 0.000 0.326 1
```

Diffraction record for Mg3H2Ir4. The XRD peak list is computed, not measured: it uses a GGA-PBE-relaxed structure and λ = 1.5418 Å (Cu Kα).
No peak broadening, texture or thermal motion is included.

Largest 6 diffraction maxima, sorted by position, 10 to 90 degrees two-theta:
index	Position (°2θ)	I (rel.)
2 0 -1	20.86	1000
1 1 2	39.31	429
0 2 0	39.51	269
3 1 1	44.12	307
2 2 -1	45.10	283
1 1 -3	45.70	231

Atomic structure:
```
data_Mg3H2Ir4
_chemical_formula_sum 'Mg6 H4 Ir8'
_cell_length_a 9.045
_cell_length_b 4.561
_cell_length_c 6.652
_cell_angle_alpha 90.00
_cell_angle_beta 110.11
_cell_angle_gamma 90.00
_symmetry_space_group_name_H-M 'C 1 2 1'
_symmetry_Int_Tables_number 5
_symmetry_space_group_name_Hall 'C 2y'
loop_
_atom_site_label
_atom_site_type_symbol
_atom_site_fract_x
_atom_site_fract_y
_atom_site_fract_z
_atom_site_occupancy
Mg1 Mg 0.000 0.000 0.000 1
Mg2 Mg 0.124 0.427 0.412 1
H1 H 0.204 0.603 0.126 1
Ir1 Ir 0.104 0.925 0.672 1
Ir2 Ir 0.183 0.433 0.875 1
```

Diffraction record for Mg5HIr. The XRD peak list is computed, not measured: it uses a GGA-PBE-relaxed structure and λ = 1.5418 Å (Cu Kα).
No peak broadening, texture or thermal motion is included.

Largest 6 diffraction maxima, sorted by position, 10 to 90 degrees two-theta:
index	Position (°2θ)	I (rel.)
0 0 1	15.44	1000
0 1 0	18.14	875
1 0 0	22.02	849
1 1 1	26.98	727
1 2 1	37.66	462
1 0 2	38.47	661

Atomic structure:
```
data_Mg5HIr
_chemical_formula_sum 'Mg5 H1 Ir1'
_cell_length_a 4.432
_cell_length_b 5.359
_cell_length_c 5.740
_cell_angle_alpha 89.67
_cell_angle_beta 89.95
_cell_angle_gamma 65.87
_symmetry_space_group_name_H-M 'P 1'
_symmetry_Int_Tables_number 1
_symmetry_space_group_name_Hall 'P 1'
loop_
_atom_site_label
_atom_site_type_symbol
_atom_site_fract_x
_atom_site_fract_y
_atom_site_fract_z
_atom_site_occupancy
Mg1 Mg 0.000 0.000 0.000 1
Mg2 Mg 0.071 0.857 0.517 1
Mg3 Mg 0.372 0.257 0.292 1
Mg4 Mg 0.666 0.666 0.148 1
Mg5 Mg 0.774 0.450 0.661 1
H1 H 0.302 0.374 0.821 1
Ir1 Ir 0.478 0.046 0.753 1
```

What did the second record say?
Diffraction record for Mg3H5Ir2. The XRD peak list is computed, not measured: it uses a GGA-PBE-relaxed structure and λ = 1.5418 Å (Cu Kα).
No peak broadening, texture or thermal motion is included.

Largest 6 diffraction maxima, sorted by position, 10 to 90 degrees two-theta:
index	Position (°2θ)	I (rel.)
0 0 1	12.12	840
1 0 0	19.27	1000
1 0 -2	26.38	533
1 1 0	35.42	456
1 1 1	39.46	691
1 1 -2	39.93	768

Atomic structure:
```
data_Mg3H5Ir2
_chemical_formula_sum 'Mg3 H5 Ir2'
_cell_length_a 4.814
_cell_length_b 3.035
_cell_length_c 7.630
_cell_angle_alpha 90.00
_cell_angle_beta 106.90
_cell_angle_gamma 90.00
_symmetry_space_group_name_H-M 'P 1 m 1'
_symmetry_Int_Tables_number 6
_symmetry_space_group_name_Hall 'P -2y'
loop_
_atom_site_label
_atom_site_type_symbol
_atom_site_fract_x
_atom_site_fract_y
_atom_site_fract_z
_atom_site_occupancy
Mg1 Mg 0.000 0.000 0.000 1
Mg2 Mg 0.307 0.000 0.652 1
Mg3 Mg 0.687 0.000 0.272 1
H1 H 0.021 0.500 0.474 1
H2 H 0.098 0.500 0.814 1
H3 H 0.424 0.000 0.422 1
H4 H 0.611 0.500 0.793 1
H5 H 0.785 0.500 0.106 1
Ir1 Ir 0.226 0.500 0.328 1
Ir2 Ir 0.446 0.500 0.958 1
```